Diffraction record for PtPbCl. The PXRD pattern is simulated, not measured: it uses a PBE-relaxed structure and CuKα.

```
PtPbCl
1.0
4.057 0.000 0.000
-2.029 3.513 0.000
0.000 0.000 5.252
Pt Pb Cl
1 1 1
Cartesian
0.000 0.000 0.000 Pt
0.000 2.342 3.889 Pb
2.029 1.171 1.476 Cl
```

Most intense lines, 10 to 80 degrees two-theta, low angle first:
16.88°, rel. 42.8; 25.35°, rel. 22.6; 30.61°, rel. 100.0; 43.00°, rel. 52.6; 44.67°, rel. 36.8; 55.13°, rel. 19.4

=====

Diffraction record for NaMg6In5. The PXRD pattern is simulated, not measured: it uses a PBE-relaxed structure and CuKα.

```
NaMg6In5
1.0
-2.304 4.437 7.000
2.304 -4.437 7.000
2.304 4.437 -7.000
Na Mg In
1 6 5
Cartesian
0.000 0.000 0.000 Na
2.304 -2.132 4.620 Mg
2.304 2.371 0.000 Mg
0.000 2.305 2.380 Mg
2.304 2.132 4.620 Mg
0.000 2.066 7.000 Mg
0.000 6.569 2.380 Mg
2.304 0.000 2.196 In
0.000 0.000 4.508 In
0.000 4.437 0.000 In
0.000 0.000 9.492 In
0.000 4.437 4.804 In
```

Most intense lines, 10 to 80 degrees two-theta, low angle first:
20.01°, rel. 34.2; 27.19°, rel. 31.2; 34.00°, rel. 100.0; 38.58°, rel. 16.4; 39.09°, rel. 17.4; 40.67°, rel. 15.2

=====

Diffraction record for ErBeCo4Si2. The PXRD pattern is simulated, not measured: it uses a PBE-relaxed structure and CuKα.

```
ErBeCo4Si2
1.0
1.920 1.109 7.776
-1.920 1.109 7.776
0.000 -2.217 7.776
Er Be Co Si
1 1 4 2
Cartesian
0.000 0.000 0.000 Er
0.000 0.000 11.664 Be
0.000 0.000 3.117 Co
0.000 0.000 9.525 Co
0.000 0.000 13.803 Co
0.000 0.000 20.211 Co
0.000 0.000 5.481 Si
0.000 0.000 17.848 Si
```

Most intense lines, 10 to 80 degrees two-theta, low angle first:
27.08°, rel. 41.8; 27.89°, rel. 43.9; 33.08°, rel. 73.6; 38.23°, rel. 83.1; 41.17°, rel. 65.5; 47.34°, rel. 100.0

=====

Diffraction record for Ac4NiSe3. The PXRD pattern is simulated, not measured: it uses a PBE-relaxed structure and CuKα.

```
Ac4NiSe3
1.0
4.556 -6.391 0.000
4.556 6.391 0.000
0.000 0.000 4.321
Ac Ni Se
4 1 3
Cartesian
2.054 0.000 2.160 Ac
4.556 3.227 0.000 Ac
4.556 -3.227 0.000 Ac
7.057 0.000 2.160 Ac
0.000 0.000 0.000 Ni
2.278 3.195 2.160 Se
2.278 -3.195 2.160 Se
4.556 0.000 0.000 Se
```

Most intense lines, 10 to 80 degrees two-theta, low angle first:
23.99°, rel. 33.6; 24.87°, rel. 33.2; 27.92°, rel. 54.3; 28.47°, rel. 100.0; 40.30°, rel. 79.4; 51.03°, rel. 21.0

=====

Diffraction record for LiYSn. The PXRD pattern is simulated, not measured: it uses a PBE-relaxed structure and CuKα.

```
LiYSn
1.0
3.444 0.000 0.000
0.000 4.622 0.000
0.000 0.000 8.900
Li Y Sn
2 2 2
Cartesian
0.000 0.000 0.000 Li
1.722 0.000 2.071 Li
0.000 2.311 3.251 Y
0.000 2.311 6.654 Y
1.722 0.000 4.947 Sn
1.722 2.311 0.494 Sn
```

Most intense lines, 10 to 80 degrees two-theta, low angle first:
21.67°, rel. 44.8; 32.89°, rel. 77.2; 33.99°, rel. 100.0; 35.97°, rel. 73.7; 38.98°, rel. 33.5; 51.89°, rel. 42.8

=====

Diffraction record for Tl3PdCl. The PXRD pattern is simulated, not measured: it uses a PBE-relaxed structure and CuKα.

```
Tl3PdCl
1.0
5.374 0.000 0.000
0.000 5.374 0.000
0.000 0.000 5.374
Tl Pd Cl
3 1 1
Cartesian
0.000 0.000 2.687 Tl
0.000 2.687 0.000 Tl
2.687 0.000 0.000 Tl
0.000 0.000 0.000 Pd
2.687 2.687 2.687 Cl
```

Most intense lines, 10 to 80 degrees two-theta, low angle first:
16.50°, rel. 72.8; 28.77°, rel. 97.6; 33.35°, rel. 100.0; 37.42°, rel. 39.6; 47.87°, rel. 73.0; 56.82°, rel. 44.6